[1]
Ho3Ni4: theoretical powder X-ray diffraction pattern (Cu Kα X-rays), based on a structure optimized by DFT (GGA-PBE).
Neutral-atom scattering factors, no anomalous dispersion.

Top 10 peaks for 2θ from 10° to 80°, low angle first:
| 2θ (°) | I/Imax | h k l |
| --- | --- | --- |
| 27.6 | 41.5 | 1 1 2 |
| 31.7 | 100.0 | 1 1 3 |
| 33.3 | 66.5 | 0 2 4 |
| 35.6 | 90.8 | 1 3 0 |
| 36.7 | 92.7 | 1 1 4 |
| 41.5 | 98.5 | 1 3 3 |
| 41.9 | 39.2 | 0 0 6 |
| 42.9 | 40.9 | 0 4 3 |
| 44.8 | 61.5 | 2 0 0 |
| 56.9 | 37.1 | 0 0 8 |

Atomic structure:
abc: 4.045 9.669 12.951
angles: 90.00 90.00 90.00
Space group Cmcm (No. 63)
Symmetry-distinct sites (fractional):
Ho  0.000  0.006  0.250 x4
Ho  0.000  0.289  0.102 x8
Ni  0.000  0.000  0.000 x4
Ni  0.000  0.287  0.750 x4
Ni  0.000  0.425  0.588 x8

***

[2]
Y4Pt: theoretical powder X-ray diffraction pattern (Cu Kα X-rays), based on a structure optimized by DFT (GGA-PBE).
Neutral-atom scattering factors, no anomalous dispersion.

Top 10 peaks for 2θ from 10° to 80°, low angle first:
| 2θ (°) | I/Imax | h k l |
| --- | --- | --- |
| 15.2 | 84.9 | 1 0 1 |
| 20.2 | 74.3 | 2 0 0 |
| 27.0 | 42.9 | 1 1 2 |
| 30.6 | 96.3 | 2 0 2 |
| 32.6 | 100.0 | 3 0 1 |
| 36.0 | 64.8 | 1 0 3 |
| 38.7 | 80.9 | 3 2 1 |
| 39.8 | 72.0 | 3 1 2 |
| 41.0 | 34.0 | 4 0 0 |
| 53.4 | 35.5 | 4 3 1 |

Atomic structure:
abc: 8.796 8.796 7.803
angles: 90.00 90.00 90.00
Space group I-42d (No. 122)
Symmetry-distinct sites (fractional):
Y  0.036  0.198  0.341 x16
Pt  0.000  0.000  0.000 x4

***

[3]
Nd4TeIrCl2: theoretical powder X-ray diffraction pattern (Cu Kα X-rays), based on a structure optimized by DFT (GGA-PBE).
Neutral-atom scattering factors, no anomalous dispersion.

Top 10 peaks for 2θ from 10° to 80°, low angle first:
| 2θ (°) | I/Imax | h k l |
| --- | --- | --- |
| 11.8 | 19.6 | 0 0 1 |
| 12.7 | 38.6 | 1 0 0 |
| 24.4 | 10.6 | 0 1 1 |
| 28.4 | 54.1 | 2 0 -2 |
| 29.5 | 100.0 | 1 1 1 |
| 40.2 | 35.7 | 1 1 -3 |
| 40.9 | 16.2 | 2 0 2 |
| 42.5 | 42.1 | 3 1 -1 |
| 43.4 | 18.6 | 0 2 0 |
| 52.7 | 19.1 | 2 2 -2 |

Atomic structure:
abc: 7.419 4.168 7.976
angles: 90.00 109.86 90.00
Space group P2/m (No. 10)
Symmetry-distinct sites (fractional):
Nd  0.215  0.000  0.212 x2
Nd  0.245  0.500  0.789 x2
Te  0.000  0.000  0.500 x1
Ir  0.000  0.500  0.000 x1
Cl  0.500  0.000  0.000 x1
Cl  0.500  0.500  0.500 x1

***

[4]
NpCo12Ge6: theoretical powder X-ray diffraction pattern (Cu Kα X-rays), based on a structure optimized by DFT (GGA-PBE).
Neutral-atom scattering factors, no anomalous dispersion.

Top 10 peaks for 2θ from 10° to 80°, low angle first:
| 2θ (°) | I/Imax | h k l |
| --- | --- | --- |
| 28.1 | 53.2 | 2 1 1 |
| 33.8 | 28.5 | 2 2 0 |
| 34.4 | 36.1 | 1 2 2 |
| 37.1 | 100.0 | 1 3 1 |
| 38.3 | 68.4 | 1 1 3 |
| 42.2 | 43.6 | 3 1 2 |
| 49.0 | 28.2 | 2 3 2 |
| 50.5 | 37.4 | 0 2 4 |
| 55.1 | 50.2 | 5 0 2 |
| 70.3 | 20.9 | 3 1 5 |

Atomic structure:
abc: 10.6153 10.6153 7.8684
angles: 90.00 90.00 120.00
Space group R-3m (No. 166, hexagonal axes)
Symmetry-distinct sites (fractional):
Np  0.0000  0.0000  0.0000 x3
Co  0.0000  0.3762  0.5000 x18
Co  0.0807  0.1613  0.3416 x18
Ge  0.0308  0.5154  0.2638 x18

***

Question: What is the formula in the fourth record?
Answer: NpCo12Ge6

***

What did the third record say?
Nd4TeIrCl2: theoretical powder X-ray diffraction pattern (Cu Kα X-rays), based on a structure optimized by DFT (GGA-PBE).
Neutral-atom scattering factors, no anomalous dispersion.

Top 10 peaks for 2θ from 10° to 80°, low angle first:
| 2θ (°) | I/Imax | h k l |
| --- | --- | --- |
| 11.8 | 19.6 | 0 0 1 |
| 12.7 | 38.6 | 1 0 0 |
| 24.4 | 10.6 | 0 1 1 |
| 28.4 | 54.1 | 2 0 -2 |
| 29.5 | 100.0 | 1 1 1 |
| 40.2 | 35.7 | 1 1 -3 |
| 40.9 | 16.2 | 2 0 2 |
| 42.5 | 42.1 | 3 1 -1 |
| 43.4 | 18.6 | 0 2 0 |
| 52.7 | 19.1 | 2 2 -2 |

Atomic structure:
abc: 7.419 4.168 7.976
angles: 90.00 109.86 90.00
Space group P2/m (No. 10)
Symmetry-distinct sites (fractional):
Nd  0.215  0.000  0.212 x2
Nd  0.245  0.500  0.789 x2
Te  0.000  0.000  0.500 x1
Ir  0.000  0.500  0.000 x1
Cl  0.500  0.000  0.000 x1
Cl  0.500  0.500  0.500 x1